# Bi13O20
Calculated powder diffractogram, copper Kα. Input: a GGA-PBE-relaxed structure.

Top 6 peaks for 2θ from 5° to 70°, by angle:
27.0°, I = 100, hkl 3 1 0; 29.6°, I = 25, hkl 2 2 2; 32.1°, I = 70, hkl 3 2 1; 51.0°, I = 34, hkl 5 0 3; 54.1°, I = 30, hkl 5 3 2; 60.1°, I = 22, hkl 6 3 1

Crystal structure
```
data_Bi13O20
_space_group_name_H-M_alt 'I 2 3'
_space_group_IT_number 197
_space_group_name_Hall 'I 2 2 3'
_cell_length_a 10.446
_cell_length_b 10.446
_cell_length_c 10.446
_cell_angle_alpha 90.00
_cell_angle_beta 90.00
_cell_angle_gamma 90.00
loop_
_atom_site_label
_atom_site_type_symbol
_atom_site_fract_x
_atom_site_fract_y
_atom_site_fract_z
_atom_site_occupancy
Bi1 Bi 0.000 0.000 0.000 1
Bi2 Bi 0.016 0.178 0.679 1
O1 O 0.006 0.369 0.259 1
O2 O 0.120 0.120 0.120 1
O3 O 0.186 0.186 0.814 1
```